Calculated powder diffraction line list
Compound: BaSr7Fe8O24
Radiation: a wavelength of 1.5418 Å
Structure: a crystal structure in the Materials Project, relaxed with PBE+U
Intensities are scaled so that the largest is 100.

Cell and atoms:
a b c (Å): 7.8642 7.8642 7.8642
angles (deg): 90.00 90.00 90.00
Space group Pm-3m (No. 221)
Asymmetric unit:
1 Ba 0.0000 0.0000 0.0000 [1 per cell]
2 Sr 0.0000 0.0000 0.5000 [3 per cell]
3 Sr 0.0000 0.5000 0.5000 [3 per cell]
4 Sr 0.5000 0.5000 0.5000 [1 per cell]
5 Fe 0.2511 0.2511 0.2511 [8 per cell]
6 O 0.0000 0.2545 0.2545 [12 per cell]
7 O 0.2510 0.2510 0.5000 [12 per cell]

Principal peaks in the range 10 to 90 degrees two-theta, most intense first:
2theta  I/Imax  h k l
32.2  100  2 2 0
46.2  38  4 0 0
57.4  38  4 2 2
67.4  22  4 4 0
76.6  16  6 2 0
39.7  14  2 2 2
85.6  7  4 4 4
81.1  4  6 2 2
22.6  2  2 0 0
52.0  1  4 2 0



Calculated powder diffraction line list
Compound: Li7Fe8B8O24
Radiation: a wavelength of 1.5418 Å
Structure: a crystal structure in the Materials Project, relaxed with PBE+U
Intensities are scaled so that the largest is 100.

Cell and atoms:
a b c (Å): 5.2307 9.0774 11.4460
angles (deg): 67.64 77.08 89.95
Space group P1 (No. 1)
Asymmetric unit:
1 Li 0.0000 0.0000 0.0000 [1 per cell]
2 Li 0.0246 0.0338 0.2606 [1 per cell]
3 Li 0.3051 0.2737 0.7587 [1 per cell]
4 Li 0.4967 0.4975 0.0064 [1 per cell]
5 Li 0.5224 0.5310 0.2627 [1 per cell]
6 Li 0.7586 0.7398 0.5098 [1 per cell]
7 Li 0.8078 0.7771 0.7581 [1 per cell]
8 Fe 0.0206 0.3397 0.9790 [1 per cell]
9 Fe 0.0468 0.7174 0.2235 [1 per cell]
10 Fe 0.2710 0.9366 0.4798 [1 per cell]
11 Fe 0.2981 0.6257 0.7297 [1 per cell]
12 Fe 0.5266 0.8441 0.9746 [1 per cell]
13 Fe 0.5421 0.2148 0.2267 [1 per cell]
14 Fe 0.7786 0.4178 0.4761 [1 per cell]
15 Fe 0.8276 0.1270 0.7187 [1 per cell]
16 B 0.0228 0.6774 0.9710 [1 per cell]
17 B 0.0605 0.3829 0.2225 [1 per cell]
18 B 0.2825 0.5982 0.4717 [1 per cell]
19 B 0.3145 0.9636 0.7285 [1 per cell]
20 B 0.5223 0.1792 0.9712 [1 per cell]
21 B 0.5551 0.8843 0.2201 [1 per cell]
22 B 0.7639 0.0920 0.4686 [1 per cell]
23 B 0.8165 0.4698 0.7166 [1 per cell]
24 O 0.0276 0.6042 0.4458 [1 per cell]
25 O 0.0502 0.4356 0.7570 [1 per cell]
26 O 0.1185 0.7861 0.0138 [1 per cell]
27 O 0.1869 0.5689 0.9405 [1 per cell]
28 O 0.1914 0.0952 0.7335 [1 per cell]
29 O 0.1955 0.8545 0.6931 [1 per cell]
30 O 0.2651 0.1792 0.9577 [1 per cell]
31 O 0.3294 0.4056 0.2048 [1 per cell]
32 O 0.3751 0.7067 0.5126 [1 per cell]
33 O 0.3931 0.9895 0.2541 [1 per cell]
34 O 0.4382 0.4824 0.4523 [1 per cell]
35 O 0.4517 0.7631 0.1914 [1 per cell]
36 O 0.5311 0.1189 0.4307 [1 per cell]
37 O 0.5586 0.9371 0.7600 [1 per cell]
38 O 0.6220 0.2913 0.0090 [1 per cell]
39 O 0.6806 0.0684 0.9417 [1 per cell]
40 O 0.6976 0.3602 0.6780 [1 per cell]
41 O 0.7035 0.6086 0.7091 [1 per cell]
42 O 0.7659 0.6749 0.9577 [1 per cell]
43 O 0.8252 0.8995 0.2107 [1 per cell]
44 O 0.8649 0.2013 0.5110 [1 per cell]
45 O 0.8944 0.4804 0.2713 [1 per cell]
46 O 0.8967 0.9623 0.4624 [1 per cell]
47 O 0.9532 0.2680 0.1900 [1 per cell]

Principal peaks in the range 10 to 90 degrees two-theta, most intense first:
2theta  I/Imax  h k l
34.9  100  0 0 4
34.3  91  2 0 1
19.6  80  1 -1 0
21.5  74  1 1 2
26.0  52  0 2 -1
40.6  45  0 4 1
21.4  42  -1 1 1
26.4  32  0 2 3
61.3  24  0 6 3
49.0  23  0 2 6



Calculated powder diffraction line list
Compound: Li3MnP2O8
Radiation: a wavelength of 1.5418 Å
Structure: a crystal structure in the Materials Project, relaxed with PBE+U
Intensities are scaled so that the largest is 100.

Cell and atoms:
a b c (Å): 8.5530 8.6615 9.3712
angles (deg): 87.11 86.93 69.37
Space group P1 (No. 1)
Asymmetric unit:
1 Li 0.0000 0.0000 0.0000 [1 per cell]
2 Li 0.0009 0.5646 0.4494 [1 per cell]
3 Li 0.2457 0.1750 0.2363 [1 per cell]
4 Li 0.2601 0.7421 0.4715 [1 per cell]
5 Li 0.2969 0.1963 0.9248 [1 per cell]
6 Li 0.3221 0.8435 0.7958 [1 per cell]
7 Li 0.3603 0.2953 0.6621 [1 per cell]
8 Li 0.5116 0.0228 0.4665 [1 per cell]
9 Li 0.5537 0.5188 0.9037 [1 per cell]
10 Li 0.5743 0.0914 0.1583 [1 per cell]
11 Li 0.7849 0.2619 0.3985 [1 per cell]
12 Li 0.7973 0.7318 0.9371 [1 per cell]
13 Mn 0.1736 0.6327 0.0916 [1 per cell]
14 Mn 0.6388 0.6364 0.3006 [1 per cell]
15 Mn 0.8998 0.9051 0.5991 [1 per cell]
16 Mn 0.9108 0.3786 0.7915 [1 per cell]
17 P 0.1343 0.1157 0.6259 [1 per cell]
18 P 0.1537 0.5777 0.7693 [1 per cell]
19 P 0.4054 0.8424 0.1061 [1 per cell]
20 P 0.4104 0.4255 0.2834 [1 per cell]
21 P 0.6481 0.7056 0.6220 [1 per cell]
22 P 0.6923 0.1460 0.7824 [1 per cell]
23 P 0.8475 0.8823 0.2684 [1 per cell]
24 P 0.9707 0.3833 0.1212 [1 per cell]
25 O 0.0311 0.1955 0.1342 [1 per cell]
26 O 0.0618 0.6806 0.8958 [1 per cell]
27 O 0.0644 0.6677 0.6318 [1 per cell]
28 O 0.0932 0.9751 0.5541 [1 per cell]
29 O 0.1337 0.4022 0.7815 [1 per cell]
30 O 0.1373 0.4224 0.1113 [1 per cell]
31 O 0.1595 0.0725 0.7880 [1 per cell]
32 O 0.2471 0.8231 0.0394 [1 per cell]
33 O 0.2542 0.5354 0.3650 [1 per cell]
34 O 0.2867 0.1397 0.5471 [1 per cell]
35 O 0.3416 0.5405 0.7628 [1 per cell]
36 O 0.3869 0.0263 0.0905 [1 per cell]
37 O 0.4041 0.4867 0.1204 [1 per cell]
38 O 0.4039 0.7869 0.2694 [1 per cell]
39 O 0.4329 0.2409 0.2962 [1 per cell]
40 O 0.4572 0.7659 0.6162 [1 per cell]
41 O 0.5066 0.1737 0.8101 [1 per cell]
42 O 0.5640 0.7291 0.0297 [1 per cell]
43 O 0.5735 0.4434 0.3386 [1 per cell]
44 O 0.6779 0.8462 0.2824 [1 per cell]
45 O 0.6895 0.8690 0.6027 [1 per cell]
46 O 0.7184 0.6190 0.7648 [1 per cell]
47 O 0.7226 0.3032 0.8328 [1 per cell]
48 O 0.7403 0.1342 0.6154 [1 per cell]
49 O 0.7400 0.5912 0.4995 [1 per cell]
50 O 0.7878 0.0704 0.2568 [1 per cell]
51 O 0.8125 0.9906 0.8572 [1 per cell]
52 O 0.8686 0.4574 0.9873 [1 per cell]
53 O 0.8698 0.4687 0.2553 [1 per cell]
54 O 0.9423 0.8011 0.1302 [1 per cell]
55 O 0.9559 0.8047 0.3953 [1 per cell]
56 O 0.9778 0.2793 0.6073 [1 per cell]

Principal peaks in the range 10 to 90 degrees two-theta, most intense first:
2theta  I/Imax  h k l
25.2  100  2 2 0
20.5  90  -1 1 1
14.8  78  1 0 -1
14.7  68  0 1 -1
19.0  56  0 0 2
10.9  54  0 1 0
34.1  53  1 -1 3
30.4  47  0 1 3
21.6  45  1 0 2
11.1  36  1 0 0



Calculated powder diffraction line list
Compound: V2CoP2O10
Radiation: a wavelength of 1.5418 Å
Structure: a crystal structure in the Materials Project, relaxed with PBE+U
Intensities are scaled so that the largest is 100.

Cell and atoms:
a b c (Å): 6.4357 7.4153 7.4459
angles (deg): 90.00 90.20 90.00
Space group P2_1/c (No. 14)
Asymmetric unit:
1 V 0.2429 0.2206 0.1667 [4 per cell]
2 Co 0.5000 0.0000 0.5000 [2 per cell]
3 P 0.2486 0.6211 0.3728 [4 per cell]
4 O 0.0560 0.7420 0.3528 [4 per cell]
5 O 0.2401 0.5091 0.5456 [4 per cell]
6 O 0.2703 0.1624 0.3889 [4 per cell]
7 O 0.2766 0.0063 0.7076 [4 per cell]
8 O 0.4397 0.7490 0.8782 [4 per cell]

Principal peaks in the range 10 to 90 degrees two-theta, most intense first:
2theta  I/Imax  h k l
26.8  100  0 1 2
21.9  51  1 1 1
32.6  40  2 1 1
27.7  39  2 0 0
13.8  28  1 0 0
18.3  24  1 1 0
57.3  23  4 0 0
43.9  20  3 1 0
39.0  20  1 3 0
34.1  18  0 2 2



Calculated powder diffraction line list
Compound: Na4MgNi2O6
Radiation: a wavelength of 1.5418 Å
Structure: a crystal structure in the Materials Project, relaxed with PBE+U
Intensities are scaled so that the largest is 100.

Cell and atoms:
a b c (Å): 5.6470 6.0576 6.2821
angles (deg): 116.59 93.68 112.54
Space group P1 (No. 1)
Asymmetric unit:
1 Na 0.0000 0.0000 0.0000 [1 per cell]
2 Na 0.1358 0.1006 0.5564 [1 per cell]
3 Na 0.5616 0.3577 0.2910 [1 per cell]
4 Na 0.8272 0.3845 0.7370 [1 per cell]
5 Mg 0.3694 0.7731 0.6844 [1 per cell]
6 Ni 0.0635 0.5605 0.2787 [1 per cell]
7 Ni 0.5349 0.7509 0.1557 [1 per cell]
8 O 0.1909 0.4357 0.9897 [1 per cell]
9 O 0.2073 0.3867 0.4032 [1 per cell]
10 O 0.4640 0.9347 0.4626 [1 per cell]
11 O 0.5862 0.9724 0.0185 [1 per cell]
12 O 0.8165 0.6556 0.1368 [1 per cell]
13 O 0.9853 0.7066 0.5933 [1 per cell]

Principal peaks in the range 10 to 90 degrees two-theta, most intense first:
2theta  I/Imax  h k l
16.5  100  0 0 1
18.5  79  0 1 0
35.0  70  2 0 -1
33.1  49  1 -2 0
18.8  46  1 -1 0
27.6  44  1 1 -1
22.0  44  1 -1 1
42.8  41  1 2 -1
46.3  37  0 1 2
35.7  37  1 -2 2



Calculated powder diffraction line list
Compound: V4OF11
Radiation: a wavelength of 1.5418 Å
Structure: a crystal structure in the Materials Project, relaxed with PBE+U
Intensities are scaled so that the largest is 100.

Cell and atoms:
a b c (Å): 5.2577 5.4457 17.4967
angles (deg): 88.65 81.54 61.39
Space group P1 (No. 1)
Asymmetric unit:
1 V 0.0000 0.0000 0.0000 [1 per cell]
2 V 0.0007 0.4834 0.5002 [1 per cell]
3 V 0.2510 0.8421 0.6294 [1 per cell]
4 V 0.2545 0.3746 0.1255 [1 per cell]
5 V 0.4967 0.2544 0.7474 [1 per cell]
6 V 0.5068 0.7500 0.2517 [1 per cell]
7 V 0.7462 0.1028 0.3682 [1 per cell]
8 V 0.7502 0.6253 0.8745 [1 per cell]
9 O 0.2943 0.5684 0.6840 [1 per cell]
10 O 0.6717 0.9590 0.2960 [1 per cell]
11 F 0.1707 0.4144 0.8380 [1 per cell]
12 F 0.1756 0.9034 0.3383 [1 per cell]
13 F 0.1773 0.2134 0.0368 [1 per cell]
14 F 0.1776 0.7015 0.5378 [1 per cell]
15 F 0.2184 0.1675 0.5645 [1 per cell]
16 F 0.2332 0.6846 0.0629 [1 per cell]
17 F 0.2736 0.0618 0.1876 [1 per cell]
18 F 0.3182 0.0421 0.7113 [1 per cell]
19 F 0.3253 0.8352 0.9109 [1 per cell]
20 F 0.3302 0.5363 0.2134 [1 per cell]
21 F 0.3310 0.3312 0.4137 [1 per cell]
22 F 0.6747 0.6627 0.5861 [1 per cell]
23 F 0.6812 0.1568 0.0888 [1 per cell]
24 F 0.6821 0.4541 0.7855 [1 per cell]
25 F 0.7193 0.9401 0.8107 [1 per cell]
26 F 0.7355 0.4249 0.3126 [1 per cell]
27 F 0.7718 0.3112 0.9374 [1 per cell]
28 F 0.7768 0.8087 0.4396 [1 per cell]
29 F 0.8250 0.5911 0.1636 [1 per cell]
30 F 0.8246 0.7854 0.9634 [1 per cell]
31 F 0.8288 0.2736 0.4576 [1 per cell]
32 F 0.8311 0.0739 0.6599 [1 per cell]

Principal peaks in the range 10 to 90 degrees two-theta, most intense first:
2theta  I/Imax  h k l
23.6  100  0 1 -3
23.4  50  1 0 -2
48.2  20  0 2 -6
39.7  19  2 2 2
32.8  15  1 -1 1
53.2  12  -2 1 1
53.4  12  1 2 8
53.5  12  1 3 -3
55.1  11  1 2 -8
47.9  11  2 0 -4



Q: What is the formula in the sixth record?
A: V4OF11